Structure and computed powder X-ray diffraction pattern of Cs2Cr4CuH4O16 (a structure optimized by DFT (PBE+U); a wavelength of 1.5418 Å).

Crystal structure
Cell: 7.746 7.852 7.966 Å, 93.27 117.35 99.00°
Element x y z (fractional)
1 Cs 0.240 0.334 0.262
2 Cs 0.760 0.666 0.738
3 Cr 0.202 0.348 0.755
4 Cr 0.255 0.831 0.531
5 Cr 0.745 0.169 0.469
6 Cr 0.798 0.652 0.245
7 Cu 0.500 0.000 0.000
8 H 0.186 0.863 0.990
9 H 0.289 0.705 0.000
10 H 0.711 0.295 0.000
11 H 0.814 0.137 0.010
12 O 0.013 0.712 0.477
13 O 0.167 0.498 0.885
14 O 0.231 0.019 0.461
15 O 0.237 0.176 0.866
16 O 0.314 0.831 0.054
17 O 0.338 0.723 0.415
18 O 0.389 0.424 0.723
19 O 0.412 0.850 0.766
20 O 0.588 0.150 0.234
21 O 0.611 0.576 0.277
22 O 0.662 0.277 0.585
23 O 0.686 0.169 0.946
24 O 0.763 0.824 0.134
25 O 0.769 0.981 0.539
26 O 0.833 0.502 0.115
27 O 0.987 0.288 0.523

Main lines, sorted by position (2θ from 5° to 70°):
2θ/deg, I (rel.)
19.25, 55
24.23, 100
24.77, 63
25.72, 61
26.46, 87
33.79, 47

=====

Structure and computed powder X-ray diffraction pattern of Ba6Na2Nb2V2O17 (a structure optimized by DFT (PBE+U); a wavelength of 1.5418 Å).

Crystal structure
Cell: 5.972 5.972 15.055 Å, 90.19 90.19 59.86°
Element x y z (fractional)
1 Ba 0.000 0.000 0.000
2 Ba 0.334 0.332 0.686
3 Ba 0.334 0.333 0.151
4 Ba 0.667 0.666 0.849
5 Ba 0.668 0.666 0.314
6 Ba 0.992 0.008 0.500
7 Na 0.000 0.999 0.752
8 Na 0.001 0.000 0.248
9 Nb 0.333 0.333 0.913
10 Nb 0.667 0.667 0.087
11 V 0.340 0.330 0.396
12 V 0.670 0.660 0.604
13 O 0.000 0.500 0.000
14 O 0.176 0.648 0.356
15 O 0.177 0.645 0.843
16 O 0.178 0.174 0.355
17 O 0.178 0.177 0.843
18 O 0.352 0.824 0.644
19 O 0.355 0.823 0.157
20 O 0.364 0.315 0.510
21 O 0.500 0.000 0.000
22 O 0.500 0.500 0.000
23 O 0.645 0.177 0.843
24 O 0.651 0.173 0.350
25 O 0.685 0.636 0.490
26 O 0.823 0.355 0.157
27 O 0.823 0.822 0.157
28 O 0.826 0.822 0.645
29 O 0.827 0.349 0.650

Main lines, sorted by position (2θ from 5° to 70°):
2θ/deg, I (rel.)
5.87, 23
20.85, 28
29.29, 28
29.39, 56
29.94, 100
42.43, 52

=====

Structure and computed powder X-ray diffraction pattern of MgVCrP2O8F2 (a structure optimized by DFT (PBE+U); a wavelength of 1.5418 Å).

Crystal structure
Cell: 5.148 5.464 7.394 Å, 110.88 108.11 91.84°
Element x y z (fractional)
1 Mg 0.000 0.000 0.000
2 V 0.500 0.000 0.500
3 Cr 0.000 0.500 0.000
4 P 0.388 0.605 0.747
5 P 0.612 0.395 0.253
6 O 0.185 0.683 0.871
7 O 0.307 0.309 0.092
8 O 0.328 0.304 0.632
9 O 0.351 0.767 0.613
10 O 0.649 0.233 0.387
11 O 0.672 0.696 0.368
12 O 0.693 0.691 0.908
13 O 0.815 0.317 0.129
14 F 0.143 0.856 0.231
15 F 0.857 0.144 0.769

Main lines, sorted by position (2θ from 5° to 70°):
2θ/deg, I (rel.)
17.62, 20
18.75, 55
26.28, 61
26.55, 100
27.38, 60
28.13, 63

=====

Structure and computed powder X-ray diffraction pattern of MgMn5O8 (a structure optimized by DFT (PBE+U); a wavelength of 1.5418 Å).

Crystal structure
Cell: 6.067 6.106 6.199 Å, 61.75 60.78 60.22°
Element x y z (fractional)
1 Mg 0.000 0.000 0.000
2 Mn 0.000 0.500 0.000
3 Mn 0.000 0.500 0.500
4 Mn 0.500 0.000 0.000
5 Mn 0.500 0.500 0.000
6 Mn 0.500 0.500 0.500
7 O 0.220 0.269 0.781
8 O 0.244 0.706 0.801
9 O 0.248 0.296 0.203
10 O 0.271 0.730 0.218
11 O 0.729 0.270 0.782
12 O 0.752 0.704 0.797
13 O 0.756 0.294 0.199
14 O 0.780 0.731 0.219

Main lines, sorted by position (2θ from 5° to 70°):
2θ/deg, I (rel.)
17.21, 40
17.57, 79
41.28, 100
41.78, 48
59.68, 26
60.67, 26

=====

Structure and computed powder X-ray diffraction pattern of CrHSe3O8 (a structure optimized by DFT (PBE+U); a wavelength of 1.5418 Å).

Crystal structure
Cell: 7.635 12.162 10.761 Å, 90.00 131.10 90.00°
Element x y z (fractional)
1 Cr 0.244 0.175 0.124
2 Cr 0.244 0.325 0.624
3 Cr 0.756 0.675 0.376
4 Cr 0.756 0.825 0.876
5 H 0.309 0.181 0.847
6 H 0.309 0.319 0.347
7 H 0.691 0.681 0.653
8 H 0.691 0.819 0.153
9 Se 0.140 0.626 0.080
10 Se 0.140 0.874 0.580
11 Se 0.157 0.547 0.409
12 Se 0.157 0.953 0.909
13 Se 0.485 0.158 0.523
14 Se 0.485 0.342 0.023
15 Se 0.515 0.658 0.977
16 Se 0.515 0.842 0.477
17 Se 0.843 0.047 0.091
18 Se 0.843 0.453 0.591
19 Se 0.860 0.126 0.420
20 Se 0.860 0.374 0.920
21 O 0.086 0.737 0.550
22 O 0.086 0.763 0.050
23 O 0.098 0.543 0.216
24 O 0.098 0.957 0.716
25 O 0.124 0.046 0.168
26 O 0.124 0.454 0.668
27 O 0.227 0.091 0.953
28 O 0.227 0.409 0.453
29 O 0.281 0.241 0.315
30 O 0.281 0.259 0.815
31 O 0.285 0.737 0.876
32 O 0.285 0.763 0.376
33 O 0.344 0.185 0.595
34 O 0.344 0.315 0.095
35 O 0.429 0.612 0.196
36 O 0.429 0.888 0.696
37 O 0.571 0.112 0.304
38 O 0.571 0.388 0.804
39 O 0.656 0.685 0.905
40 O 0.656 0.815 0.405
41 O 0.715 0.237 0.624
42 O 0.715 0.263 0.124
43 O 0.719 0.741 0.185
44 O 0.719 0.759 0.685
45 O 0.773 0.591 0.547
46 O 0.773 0.909 0.047
47 O 0.876 0.546 0.332
48 O 0.876 0.954 0.832
49 O 0.902 0.043 0.284
50 O 0.902 0.457 0.784
51 O 0.914 0.237 0.950
52 O 0.914 0.263 0.450

Main lines, sorted by position (2θ from 5° to 70°):
2θ/deg, I (rel.)
18.24, 96
21.92, 54
24.55, 100
26.20, 72
27.59, 100
29.57, 57

=====

Structure and computed powder X-ray diffraction pattern of MgTiFeO4 (a structure optimized by DFT (PBE+U); a wavelength of 1.5418 Å).

Crystal structure
Cell: 5.574 5.574 5.574 Å, 139.06 135.17 62.31°
Element x y z (fractional)
1 Mg 0.000 0.000 0.000
2 Ti 0.589 0.589 0.000
3 Fe 0.312 0.812 0.500
4 O 0.086 0.586 0.500
5 O 0.386 0.386 0.000
6 O 0.565 0.065 0.500
7 O 0.790 0.790 0.000

Main lines, sorted by position (2θ from 5° to 70°):
2θ/deg, I (rel.)
22.90, 46
24.67, 100
36.51, 41
37.72, 38
42.54, 55
46.60, 40